# NaVHF6
Simulated powder X-ray diffraction pattern, Cu Kα (λ = 1.5418 Å). Input: a structure optimized by DFT (PBE+U).
No peak broadening, texture or thermal motion is included.

Structure:
```
data_NaVHF6
_chemical_formula_sum 'Na1 V1 H1 F6'
_space_group_name_H-M_alt 'P 1'
_space_group_IT_number 1
_cell_length_a 4.846
_cell_length_b 5.047
_cell_length_c 5.172
_cell_angle_alpha 89.93
_cell_angle_beta 66.38
_cell_angle_gamma 87.48
loop_
_space_group_symop_operation_xyz
'x,y,z'
loop_
_atom_site_label
_atom_site_type_symbol
_atom_site_fract_x
_atom_site_fract_y
_atom_site_fract_z
_atom_site_occupancy
Na1 Na 0.000 0.000 0.000 1
V1 V 0.340 0.511 0.368 1
H1 H 0.807 0.276 0.545 1
F1 F 0.049 0.740 0.344 1
F2 F 0.323 0.674 0.685 1
F3 F 0.340 0.264 0.110 1
F4 F 0.640 0.692 0.106 1
F5 F 0.648 0.249 0.427 1
F6 F 0.984 0.289 0.638 1
```

Main lines, by intensity (5° ≤ 2θ ≤ 70°):
h k l	d_spacing	I (rel.)
1 1 0	3.416	100
0 0 1	4.738	69
0 1 0	5.042	54
1 -1 1	3.173	48
1 -1 0	3.258	40
1 0 0	4.435	36
1 0 1	4.180	36
1 1 -1	2.446	35